This entry pairs a crystal structure of K2NaAl with its calculated powder diffractogram. Radiation: a wavelength of 1.5418 Å. Structure: DFT lattice parameters and positions (PBE).

Lattice parameters (Å, degrees): 7.8630 7.8630 7.8630 101.54 101.54 126.86
Fractional positions:
K1 0.1044 0.6250 0.9794
K2 0.3750 0.3544 0.4794
K3 0.6456 0.1250 0.0206
K4 0.8750 0.8956 0.5206
Na1 0.2500 0.7500 0.5000
Na2 0.5000 0.5000 0.0000
Al1 0.0000 0.0000 0.0000
Al2 0.7500 0.2500 0.5000

The 10 most intense peaks (2θ = 10–90°), in order of falling intensity:
Position (°2θ)  I_rel
25.33  100
28.37  80
38.40  63
36.12  35
53.74  20
55.42  19
67.96  18
46.56  16
58.71  14
60.31  13

This entry pairs a crystal structure of ErTmMgTc with its calculated powder diffractogram. Radiation: a wavelength of 1.5418 Å. Structure: DFT lattice parameters and positions (PBE).

Lattice parameters (Å, degrees): 3.4462 3.4462 7.9824 90.00 90.00 90.00
Fractional positions:
Er1 0.0000 0.0000 0.0000
Tm1 0.0000 0.0000 0.4023
Mg1 0.5000 0.5000 0.7002
Tc1 0.5000 0.5000 0.2026

The 10 most intense peaks (2θ = 10–90°), in order of falling intensity:
Position (°2θ)  I_rel
34.38  100
11.08  70
36.89  55
42.94  39
64.85  31
25.85  27
53.15  19
70.63  18
38.63  14
70.52  13

This entry pairs a crystal structure of LaUC with its calculated powder diffractogram. Radiation: a wavelength of 1.5418 Å. Structure: DFT lattice parameters and positions (PBE).

Lattice parameters (Å, degrees): 3.8726 3.8854 4.4558 90.00 90.00 90.00
Fractional positions:
La1 0.0000 0.0000 0.0000
U1 0.5000 0.5000 0.5000
C1 0.5000 0.5000 0.0000

The 10 most intense peaks (2θ = 10–90°), in order of falling intensity:
Position (°2θ)  I_rel
30.56  100
32.65  48
52.95  24
56.91  18
57.02  18
40.49  13
86.20  12
67.53  11
46.94  10
46.76  9

This entry pairs a crystal structure of ThV4Si4 with its calculated powder diffractogram. Radiation: a wavelength of 1.5418 Å. Structure: DFT lattice parameters and positions (PBE).

Lattice parameters (Å, degrees): 8.0810 8.0810 4.6005 90.00 90.00 90.00
Fractional positions:
Th1 0.2500 0.2500 0.2500
Th2 0.7500 0.7500 0.7500
V1 0.1354 0.8544 0.6767
V2 0.1456 0.6354 0.1767
V3 0.3544 0.8646 0.1767
V4 0.3646 0.6456 0.6767
V5 0.6354 0.3544 0.3233
V6 0.6456 0.1354 0.8233
V7 0.8544 0.3646 0.8233
V8 0.8646 0.1456 0.3233
Si1 0.0334 0.9057 0.1845
Si2 0.0943 0.5334 0.6845
Si3 0.4057 0.9666 0.6845
Si4 0.4666 0.5943 0.1845
Si5 0.5334 0.4057 0.8155
Si6 0.5943 0.0334 0.3155
Si7 0.9057 0.4666 0.3155
Si8 0.9666 0.0943 0.8155

The 10 most intense peaks (2θ = 10–90°), in order of falling intensity:
Position (°2θ)  I_rel
31.48  100
22.24  86
35.12  71
44.99  47
22.00  35
38.74  33
53.61  32
31.31  31
60.74  28
50.62  22

This entry pairs a crystal structure of CaNdPb2 with its calculated powder diffractogram. Radiation: a wavelength of 1.5418 Å. Structure: DFT lattice parameters and positions (PBE).

Lattice parameters (Å, degrees): 4.4569 6.3841 8.9661 90.00 90.00 90.00
Fractional positions:
Ca1 0.0000 0.1179 0.0000
Ca2 0.0000 0.8821 0.5000
Nd1 0.5000 0.3681 0.3757
Nd2 0.5000 0.6319 0.8757
Pb1 0.0000 0.4258 0.6477
Pb2 0.0000 0.5742 0.1477
Pb3 0.5000 0.0987 0.7271
Pb4 0.5000 0.9013 0.2271

The 10 most intense peaks (2θ = 10–90°), in order of falling intensity:
Position (°2θ)  I_rel
31.59  100
36.03  81
28.23  46
17.05  36
24.34  32
40.48  28
29.71  26
19.80  26
42.75  24
33.10  22

This entry pairs a crystal structure of Na8B13C3 with its calculated powder diffractogram. Radiation: a wavelength of 1.5418 Å. Structure: DFT lattice parameters and positions (PBE).

Lattice parameters (Å, degrees): 5.2265 5.7318 9.1687 99.01 106.55 90.00
Fractional positions:
Na1 0.0000 0.0000 0.0000
Na2 0.0001 0.4995 0.0000
Na3 0.2475 0.6239 0.4981
Na4 0.2475 0.1246 0.4979
Na5 0.4969 0.7502 0.0015
Na6 0.4994 0.2506 0.0039
Na7 0.7478 0.3744 0.4982
Na8 0.7488 0.8748 0.5006
B1 0.0519 0.1872 0.7498
B2 0.0521 0.6872 0.7502
B3 0.2908 0.3119 0.2487
B4 0.4475 0.0487 0.2493
B5 0.4476 0.5755 0.2494
B6 0.5078 0.4370 0.7505
B7 0.5075 0.9373 0.7497
B8 0.7216 0.1873 0.7494
B9 0.7219 0.6872 0.7502
B10 0.7766 0.0597 0.2510
B11 0.7765 0.5654 0.2509
B12 0.9696 0.3124 0.2505
B13 0.9866 0.8123 0.2506
C1 0.2103 0.9372 0.7500
C2 0.2106 0.4373 0.7504
C3 0.2860 0.8121 0.2494

The 10 most intense peaks (2θ = 10–90°), in order of falling intensity:
Position (°2θ)  I_rel
41.54  100
40.30  48
41.66  37
62.38  18
77.84  17
35.73  17
75.96  13
34.32  12
79.41  10
56.03  10

This entry pairs a crystal structure of RbCa2CdF8 with its calculated powder diffractogram. Radiation: a wavelength of 1.5418 Å. Structure: DFT lattice parameters and positions (PBE).

Lattice parameters (Å, degrees): 3.8794 5.7076 8.4955 90.00 90.00 90.00
Fractional positions:
Rb1 0.0000 0.0000 0.0000
Ca1 0.5000 0.5000 0.2822
Ca2 0.5000 0.5000 0.7178
Cd1 0.0000 0.0000 0.5000
F1 0.0000 0.2611 0.2765
F2 0.0000 0.2611 0.7235
F3 0.0000 0.7389 0.2765
F4 0.0000 0.7389 0.7235
F5 0.5000 0.2486 0.5000
F6 0.5000 0.3311 0.0000
F7 0.5000 0.6689 0.0000
F8 0.5000 0.7514 0.5000

The 10 most intense peaks (2θ = 10–90°), in order of falling intensity:
Position (°2θ)  I_rel
27.81  100
44.83  95
26.15  91
51.61  28
42.57  27
35.05  26
46.84  24
54.43  22
10.41  19
20.91  18